For RbHC2O4, DFT lattice parameters and positions (GGA-PBE) gives the simulated powder diffraction line list in this record (Cu Kα (λ = 1.5418 Å)).

Most intense lines, 2θ = 10–90°, by angle:
two_theta	d (Å)	I_rel
22.86	3.891	55.6
23.51	3.784	65.2
25.46	3.499	46.6
26.85	3.321	100.0
28.35	3.148	90.5
28.60	3.121	81.6
29.09	3.070	86.3
40.03	2.253	55.7

```
RbHC2O4
1.0
4.322 0.000 0.000
0.000 13.845 0.000
-1.525 0.000 7.569
Rb H C O
4 4 8 16
Cartesian
0.518 0.909 1.975
-0.244 6.014 5.759
3.042 7.831 1.809
2.279 12.936 5.594
-0.920 10.092 7.479
-0.157 10.675 3.694
2.955 3.170 3.875
3.717 3.753 0.090
0.219 2.204 5.375
0.982 4.719 1.591
0.865 9.361 4.758
1.627 11.406 0.973
1.170 2.439 6.596
1.933 4.484 2.811
1.816 9.126 5.978
2.578 11.641 2.194
-0.409 3.230 4.948
0.354 3.693 1.164
0.147 1.034 4.932
0.909 5.889 1.148
0.452 8.388 4.119
1.215 12.380 0.335
1.322 10.148 0.714
0.559 10.620 4.499
2.238 3.225 3.070
1.476 3.697 6.855
1.582 1.465 7.234
2.345 5.457 3.449
1.888 7.956 6.421
2.651 12.811 2.637
2.443 10.152 6.405
3.206 10.615 2.620
```

***

For Nd3S2Cl5, DFT lattice parameters and positions (GGA-PBE) gives the simulated powder diffraction line list in this record (Cu Kα (λ = 1.5418 Å)).

Most intense lines, 2θ = 10–90°, by angle:
two_theta	d (Å)	I_rel
18.45	4.808	35.3
21.10	4.210	100.0
23.03	3.862	98.0
24.37	3.653	38.3
32.66	2.742	44.8
33.23	2.696	40.0
36.61	2.454	48.0
40.52	2.227	35.2

```
Nd3S2Cl5
1.0
22.122 0.000 0.000
0.000 6.629 0.000
-0.968 0.000 7.028
Nd S Cl
12 8 20
Cartesian
1.931 0.301 1.435
1.447 3.013 4.949
4.676 0.295 6.022
5.160 3.020 2.508
8.531 0.301 2.372
8.047 3.014 5.886
13.107 3.615 1.142
12.623 6.328 4.656
15.994 3.609 4.520
16.478 6.334 1.006
19.707 3.616 2.079
19.223 6.327 5.593
3.212 1.260 3.741
3.696 2.055 0.227
6.641 1.263 4.203
7.125 2.051 0.689
14.029 4.577 6.339
14.513 5.366 2.825
17.458 4.574 6.801
17.942 5.369 3.287
-0.585 1.522 6.316
-0.101 1.793 2.802
2.403 4.435 2.666
1.919 5.509 6.180
4.900 4.239 5.080
5.384 5.704 1.567
7.942 4.354 3.389
7.458 5.590 6.903
10.014 1.202 4.616
10.498 2.113 1.102
10.656 4.516 5.926
11.140 5.427 2.412
13.696 1.039 0.125
13.212 2.275 3.639
15.770 0.925 5.461
16.254 2.390 1.947
19.235 1.120 0.848
18.751 2.194 4.362
21.255 4.836 4.226
21.739 5.107 0.712
```

***

For Zr2Te2P, DFT lattice parameters and positions (GGA-PBE) gives the simulated powder diffraction line list in this record (Cu Kα (λ = 1.5418 Å)).

Most intense lines, 2θ = 10–90°, by angle:
two_theta	d (Å)	I_rel
17.46	5.080	20.4
27.36	3.260	36.1
30.54	2.927	100.0
33.84	2.649	48.4
35.77	2.510	37.1
47.18	1.926	47.7
47.39	1.918	38.0
57.25	1.609	16.1

```
Zr2Te2P
1.0
1.926 1.112 10.160
-1.926 1.112 10.160
0.000 -2.225 10.160
Zr Te P
2 2 1
Cartesian
0.000 0.000 3.643
0.000 0.000 26.837
0.000 0.000 8.411
0.000 0.000 22.069
0.000 0.000 15.240
```